Theoretical powder XRD pattern of Ba3P4O13 for Cu Kα X-rays, from a cell relaxed with GGA-PBE.

Main lines, sorted by position (2θ = 10–80°):
2θ (°)	intensity
23.03	34
24.15	86
24.92	70
26.17	100
26.44	50
27.91	34
28.65	44
30.92	35
31.19	33
40.69	35

Structural model:
```
data_Ba3P4O13
_cell_length_a 5.7771
_cell_length_b 7.3639
_cell_length_c 8.2038
_cell_angle_alpha 82.57
_cell_angle_beta 75.76
_cell_angle_gamma 70.30
_symmetry_space_group_name_H-M 'P 1'
_symmetry_Int_Tables_number 1
loop_
_symmetry_equiv_pos_as_xyz
'x,y,z'
loop_
_atom_site_label
_atom_site_fract_x
_atom_site_fract_y
_atom_site_fract_z
_atom_site_occupancy
Ba1 0.0000 0.0000 0.0000 1
Ba2 0.2959 0.1712 0.4541 1
Ba3 0.6441 0.5920 0.2256 1
P1 0.3118 0.3962 0.0362 1
P2 0.6464 0.7885 0.7608 1
P3 0.6521 0.3748 0.6975 1
P4 0.9768 0.7819 0.4193 1
O1 0.0578 0.5638 0.4108 1
O2 0.0987 0.3075 0.0976 1
O3 0.1880 0.8727 0.3583 1
O4 0.2314 0.6145 0.0435 1
O5 0.3968 0.9085 0.7200 1
O6 0.4106 0.3495 0.8330 1
O7 0.5370 0.2915 0.1198 1
O8 0.5878 0.3966 0.5275 1
O9 0.6854 0.8147 0.9304 1
O10 0.6925 0.5627 0.7495 1
O11 0.7534 0.8885 0.3338 1
O12 0.8760 0.8266 0.6221 1
O13 0.8874 0.2129 0.7200 1
```